[1]
Computed powder diffractogram
Compound: DyTiRe
Radiation: a wavelength of 1.5418 Å
Structure: a structure optimized by DFT (PBE)

Peak list (10 most intense, 2θ from 5° to 70°, most intense first)
2θ 18.37, rel. 100
2θ 34.68, rel. 67
2θ 32.76, rel. 66
2θ 37.24, rel. 56
2θ 32.02, rel. 49
2θ 41.77, rel. 43
2θ 42.35, rel. 31
2θ 44.48, rel. 24
2θ 65.50, rel. 18
2θ 51.79, rel. 17

Crystal structure
a = 6.830 Å, b = 6.830 Å, c = 6.126 Å
α = 90.00°, β = 90.00°, γ = 90.00°
Element x y z (fractional)
Dy1 0.241 0.241 0.000
Dy2 0.259 0.741 0.250
Dy3 0.741 0.259 0.750
Dy4 0.759 0.759 0.500
Ti1 0.198 0.802 0.750
Ti2 0.302 0.302 0.500
Ti3 0.698 0.698 0.000
Ti4 0.802 0.198 0.250
Re1 0.049 0.049 0.500
Re2 0.451 0.549 0.750
Re3 0.549 0.451 0.250
Re4 0.951 0.951 0.000



[2]
Computed powder diffractogram
Compound: DyURe
Radiation: a wavelength of 1.5418 Å
Structure: a structure optimized by DFT (PBE)

Peak list (10 most intense, 2θ from 5° to 70°, most intense first)
2θ 37.64, rel. 100
2θ 36.98, rel. 35
2θ 38.99, rel. 31
2θ 22.46, rel. 30
2θ 32.05, rel. 27
2θ 54.82, rel. 23
2θ 67.06, rel. 22
2θ 26.61, rel. 21
2θ 69.73, rel. 18
2θ 23.25, rel. 17

Crystal structure
a = 4.621 Å, b = 4.862 Å, c = 6.822 Å
α = 90.00°, β = 90.00°, γ = 90.00°
Element x y z (fractional)
Dy1 0.250 0.250 0.040
Dy2 0.750 0.750 0.960
U1 0.250 0.250 0.543
U2 0.750 0.750 0.457
Re1 0.250 0.750 0.293
Re2 0.750 0.250 0.707



[3]
Computed powder diffractogram
Compound: Dy2Re3W
Radiation: a wavelength of 1.5418 Å
Structure: a structure optimized by DFT (PBE)

Peak list (10 most intense, 2θ from 5° to 70°, most intense first)
2θ 38.76, rel. 100
2θ 40.54, rel. 37
2θ 62.61, rel. 25
2θ 32.88, rel. 25
2θ 68.89, rel. 22
2θ 40.64, rel. 12
2θ 69.08, rel. 11
2θ 19.96, rel. 11
2θ 38.86, rel. 9
2θ 62.74, rel. 9

Crystal structure
a = 9.413 Å, b = 5.453 Å, c = 5.451 Å
α = 90.00°, β = 125.19°, γ = 90.00°
Element x y z (fractional)
Dy1 0.124 0.000 0.373
Dy2 0.376 0.500 0.627
Dy3 0.624 0.500 0.373
Dy4 0.876 0.000 0.627
Re1 0.000 0.500 0.000
Re2 0.250 0.250 0.000
Re3 0.250 0.750 0.000
Re4 0.500 0.000 0.000
Re5 0.750 0.250 0.000
Re6 0.750 0.750 0.000
W1 0.000 0.500 0.500
W2 0.500 0.000 0.500



[4]
Computed powder diffractogram
Compound: Dy3Rh
Radiation: a wavelength of 1.5418 Å
Structure: a structure optimized by DFT (PBE)

Peak list (10 most intense, 2θ from 5° to 70°, most intense first)
2θ 34.95, rel. 100
2θ 31.28, rel. 95
2θ 31.17, rel. 85
2θ 32.58, rel. 57
2θ 36.56, rel. 42
2θ 34.40, rel. 39
2θ 44.35, rel. 29
2θ 53.06, rel. 28
2θ 56.05, rel. 22
2θ 64.16, rel. 22

Crystal structure
a = 8.795 Å, b = 8.795 Å, c = 8.795 Å
α = 96.96°, β = 96.96°, γ = 139.26°
Element x y z (fractional)
Dy1 0.000 0.358 0.358
Dy2 0.000 0.642 0.642
Dy3 0.101 0.101 0.594
Dy4 0.155 0.345 0.000
Dy5 0.345 0.155 0.000
Dy6 0.358 0.000 0.358
Dy7 0.493 0.899 0.000
Dy8 0.507 0.507 0.406
Dy9 0.642 0.000 0.642
Dy10 0.655 0.655 0.811
Dy11 0.845 0.845 0.189
Dy12 0.899 0.493 0.000
Rh1 0.205 0.500 0.705
Rh2 0.500 0.205 0.705
Rh3 0.500 0.795 0.295
Rh4 0.795 0.500 0.295



[5]
Computed powder diffractogram
Compound: Dy2Ru3Rh
Radiation: a wavelength of 1.5418 Å
Structure: a structure optimized by DFT (PBE)

Peak list (10 most intense, 2θ from 5° to 70°, most intense first)
2θ 39.76, rel. 100
2θ 38.62, rel. 56
2θ 40.32, rel. 45
2θ 32.94, rel. 41
2θ 34.24, rel. 39
2θ 42.00, rel. 38
2θ 69.09, rel. 25
2θ 64.24, rel. 25
2θ 65.03, rel. 20
2θ 60.49, rel. 15

Crystal structure
a = 5.446 Å, b = 5.446 Å, c = 5.446 Å
α = 57.48°, β = 57.48°, γ = 57.48°
Element x y z (fractional)
Dy1 0.122 0.122 0.122
Dy2 0.878 0.878 0.878
Ru1 0.000 0.500 0.500
Ru2 0.500 0.000 0.500
Ru3 0.500 0.500 0.000
Rh1 0.500 0.500 0.500



[6]
Computed powder diffractogram
Compound: Dy5RuRh2
Radiation: a wavelength of 1.5418 Å
Structure: a structure optimized by DFT (PBE)

Peak list (10 most intense, 2θ from 5° to 70°, most intense first)
2θ 32.62, rel. 100
2θ 35.20, rel. 79
2θ 28.51, rel. 58
2θ 36.98, rel. 50
2θ 43.01, rel. 43
2θ 32.28, rel. 41
2θ 33.19, rel. 39
2θ 57.44, rel. 37
2θ 36.23, rel. 27
2θ 54.78, rel. 19

Crystal structure
a = 7.606 Å, b = 11.913 Å, c = 4.206 Å
α = 90.00°, β = 90.00°, γ = 90.00°
Element x y z (fractional)
Dy1 0.000 0.000 0.000
Dy2 0.164 0.297 0.000
Dy3 0.176 0.591 0.500
Dy4 0.324 0.091 0.500
Dy5 0.336 0.797 0.000
Dy6 0.500 0.500 0.000
Dy7 0.664 0.203 0.000
Dy8 0.676 0.909 0.500
Dy9 0.824 0.409 0.500
Dy10 0.836 0.703 0.000
Ru1 0.000 0.500 0.000
Ru2 0.500 0.000 0.000
Rh1 0.039 0.831 0.500
Rh2 0.461 0.331 0.500
Rh3 0.539 0.669 0.500
Rh4 0.961 0.169 0.500



[7]
Computed powder diffractogram
Compound: DySi2RuRh
Radiation: a wavelength of 1.5418 Å
Structure: a structure optimized by DFT (PBE)

Peak list (10 most intense, 2θ from 5° to 70°, most intense first)
2θ 35.88, rel. 100
2θ 43.92, rel. 38
2θ 35.13, rel. 32
2θ 23.42, rel. 31
2θ 58.62, rel. 17
2θ 65.73, rel. 17
2θ 36.83, rel. 17
2θ 57.45, rel. 15
2θ 63.86, rel. 12
2θ 51.81, rel. 10

Crystal structure
a = 4.123 Å, b = 4.123 Å, c = 9.762 Å
α = 90.00°, β = 90.00°, γ = 90.00°
Element x y z (fractional)
Dy1 0.000 0.000 0.000
Dy2 0.500 0.500 0.500
Si1 0.000 0.000 0.373
Si2 0.000 0.000 0.627
Si3 0.500 0.500 0.127
Si4 0.500 0.500 0.873
Ru1 0.000 0.500 0.250
Ru2 0.500 0.000 0.750
Rh1 0.000 0.500 0.750
Rh2 0.500 0.000 0.250



[8]
Computed powder diffractogram
Compound: DyYRuRh
Radiation: a wavelength of 1.5418 Å
Structure: a structure optimized by DFT (PBE)

Peak list (10 most intense, 2θ from 5° to 70°, most intense first)
2θ 37.23, rel. 100
2θ 67.11, rel. 29
2θ 53.62, rel. 11
2θ 67.18, rel. 6
2θ 53.75, rel. 6
2θ 18.35, rel. 4
2θ 32.12, rel. 2
2θ 49.94, rel. 1
2θ 41.78, rel. 1
2θ 26.09, rel. 1

Crystal structure
a = 3.411 Å, b = 4.834 Å, c = 4.836 Å
α = 90.00°, β = 90.00°, γ = 90.00°
Element x y z (fractional)
Dy1 0.000 0.000 0.000
Y1 0.000 0.500 0.500
Ru1 0.500 0.500 0.000
Rh1 0.500 0.000 0.500



[9]
Computed powder diffractogram
Compound: Dy4SbRh
Radiation: a wavelength of 1.5418 Å
Structure: a structure optimized by DFT (PBE)

Peak list (10 most intense, 2θ from 5° to 70°, most intense first)
2θ 30.86, rel. 100
2θ 34.19, rel. 71
2θ 32.11, rel. 65
2θ 33.42, rel. 37
2θ 44.46, rel. 37
2θ 31.08, rel. 34
2θ 38.19, rel. 24
2θ 34.64, rel. 22
2θ 39.18, rel. 21
2θ 56.74, rel. 16

Crystal structure
a = 8.124 Å, b = 4.076 Å, c = 19.127 Å
α = 90.00°, β = 90.00°, γ = 90.00°
Element x y z (fractional)
Dy1 0.003 0.250 0.068
Dy2 0.036 0.250 0.784
Dy3 0.142 0.250 0.355
Dy4 0.142 0.250 0.553
Dy5 0.358 0.750 0.053
Dy6 0.358 0.750 0.855
Dy7 0.464 0.750 0.284
Dy8 0.497 0.750 0.568
Dy9 0.503 0.250 0.432
Dy10 0.536 0.250 0.716
Dy11 0.642 0.250 0.145
Dy12 0.642 0.250 0.947
Dy13 0.858 0.750 0.447
Dy14 0.858 0.750 0.645
Dy15 0.964 0.750 0.216
Dy16 0.997 0.750 0.932
Sb1 0.237 0.750 0.690
Sb2 0.263 0.250 0.190
Sb3 0.737 0.750 0.810
Sb4 0.763 0.250 0.310
Rh1 0.245 0.750 0.451
Rh2 0.255 0.250 0.951
Rh3 0.745 0.750 0.049
Rh4 0.755 0.250 0.549



[10]
Computed powder diffractogram
Compound: Dy2Sb3Rh5
Radiation: a wavelength of 1.5418 Å
Structure: a structure optimized by DFT (PBE)

Peak list (10 most intense, 2θ from 5° to 70°, most intense first)
2θ 34.59, rel. 100
2θ 41.42, rel. 51
2θ 37.95, rel. 26
2θ 45.45, rel. 18
2θ 37.44, rel. 17
2θ 33.25, rel. 16
2θ 33.06, rel. 15
2θ 37.65, rel. 13
2θ 44.39, rel. 9
2θ 46.30, rel. 9

Crystal structure
a = 12.897 Å, b = 12.897 Å, c = 6.983 Å
α = 90.00°, β = 90.00°, γ = 160.53°
Element x y z (fractional)
Dy1 0.012 0.988 0.500
Dy2 0.319 0.681 0.431
Dy3 0.681 0.319 0.931
Dy4 0.988 0.012 0.000
Sb1 0.110 0.890 0.742
Sb2 0.283 0.717 0.876
Sb3 0.448 0.552 0.722
Sb4 0.552 0.448 0.222
Sb5 0.717 0.283 0.376
Sb6 0.890 0.110 0.242
Rh1 0.104 0.896 0.130
Rh2 0.205 0.795 0.599
Rh3 0.221 0.779 0.175
Rh4 0.379 0.621 0.003
Rh5 0.447 0.553 0.343
Rh6 0.553 0.447 0.843
Rh7 0.621 0.379 0.503
Rh8 0.779 0.221 0.675
Rh9 0.795 0.205 0.099
Rh10 0.896 0.104 0.630



[11]
Computed powder diffractogram
Compound: DySc2Rh9
Radiation: a wavelength of 1.5418 Å
Structure: a structure optimized by DFT (PBE)

Peak list (10 most intense, 2θ from 5° to 70°, most intense first)
2θ 40.56, rel. 100
2θ 41.79, rel. 32
2θ 43.93, rel. 30
2θ 40.30, rel. 29
2θ 10.23, rel. 23
2θ 66.03, rel. 23
2θ 40.77, rel. 19
2θ 34.58, rel. 18
2θ 20.06, rel. 18
2θ 34.10, rel. 16

Crystal structure
a = 9.150 Å, b = 9.150 Å, c = 9.150 Å
α = 32.93°, β = 32.93°, γ = 32.93°
Element x y z (fractional)
Dy1 0.000 0.000 0.000
Sc1 0.140 0.140 0.140
Sc2 0.860 0.860 0.860
Rh1 0.082 0.586 0.586
Rh2 0.333 0.333 0.333
Rh3 0.414 0.414 0.918
Rh4 0.414 0.918 0.414
Rh5 0.500 0.500 0.500
Rh6 0.586 0.082 0.586
Rh7 0.586 0.586 0.082
Rh8 0.667 0.667 0.667
Rh9 0.918 0.414 0.414